The following is a simulated powder diffraction line list of Pr2SmNi9. It was derived from a PBE-relaxed structure, using CuKα.
Lines closer than 0.1° are merged.

Structure:
Lattice parameters (Å, degrees): 5.0059 5.0059 24.7792 90.00 90.00 120.00
Space group R-3m (No. 166, hexagonal axes)
One atom of each set of equivalent atoms:
Pr: 0.0000 0.0000 0.1384 [6 per cell]
Sm: 0.0000 0.0000 0.0000 [3 per cell]
Ni: 0.0000 0.0000 0.3326 [6 per cell]
Ni: 0.0000 0.0000 0.5000 [3 per cell]
Ni: 0.0011 0.5005 0.0799 [18 per cell]

Most intense lines, 10° ≤ 2θ ≤ 90°, sorted by position:
(hkl)	Position (°2θ)	I_rel
1 0 7	32.66	49
0 1 8	35.62	43
1 1 0	35.88	53
0 2 1	41.83	41
1 1 6	42.22	100
2 2 0	76.05	23